(1)
Calculated PXRD pattern
Compound: Bi4Pd
Radiation: λ = 1.5418 Å (Cu Kα)
Structure: DFT lattice parameters and positions (PBE)
Intensities are scaled so that the largest is 100.

Cell and atoms:
Cell lengths 9.1340, 9.1340, 7.0903 Å; angles 90.00, 90.00, 90.00 degrees
Space group I4_1/amd (No. 141, origin choice 2)
One atom of each set of equivalent atoms:
Bi: 0.0000 0.0549 0.2275 (multiplicity 16)
Pd: 0.0000 0.2500 0.8750 (multiplicity 4)

Top 12 peaks for 2θ from 15° to 90°, in order of rising 2θ:
d_spacing, I_rel, h k l
4.567, 10, 2 0 0
3.229, 27, 2 2 0
2.800, 100, 2 0 2
2.386, 26, 3 2 1
2.286, 25, 4 0 0
1.770, 14, 0 0 4
1.769, 17, 4 3 1
1.728, 10, 3 2 3
1.650, 8, 5 2 1
1.554, 10, 2 2 4
1.445, 9, 5 0 3
1.337, 14, 6 2 2


(2)
Calculated PXRD pattern
Compound: AgHgSb2Te4
Radiation: λ = 1.5418 Å (Cu Kα)
Structure: DFT lattice parameters and positions (PBE)
Intensities are scaled so that the largest is 100.

Cell and atoms:
Cell lengths 8.6166, 12.3927, 8.8532 Å; angles 90.00, 90.00, 90.00 degrees
Space group Fmm2 (No. 42)
One atom of each set of equivalent atoms:
Ag: 0.0000 0.0000 0.0000 (multiplicity 4)
Hg: 0.0000 0.0000 0.5002 (multiplicity 4)
Sb: 0.2500 0.2500 0.2489 (multiplicity 8)
Te: 0.0000 0.2394 0.9987 (multiplicity 8)
Te: 0.2498 0.0000 0.2496 (multiplicity 8)

Top 12 peaks for 2θ from 15° to 90°, in order of rising 2θ:
d_spacing, I_rel, h k l
3.098, 50, 0 4 0
3.087, 100, 2 0 2
2.213, 20, 0 0 4
2.187, 75, 2 4 2
2.154, 18, 4 0 0
1.801, 21, 0 4 4
1.769, 19, 4 4 0
1.544, 13, 4 0 4
1.385, 16, 2 8 2
1.382, 17, 4 4 4
1.273, 13, 2 4 6
1.250, 12, 6 4 2


(3)
Calculated PXRD pattern
Compound: PrY2WN4
Radiation: λ = 1.5418 Å (Cu Kα)
Structure: DFT lattice parameters and positions (PBE)
Intensities are scaled so that the largest is 100.

Cell and atoms:
Cell lengths 3.4409, 11.9545, 12.0209 Å; angles 90.00, 90.00, 90.00 degrees
Space group Cmcm (No. 63)
One atom of each set of equivalent atoms:
Pr: 0.0000 0.0882 0.2500 (multiplicity 4)
Y: 0.0000 0.3706 0.0382 (multiplicity 8)
W: 0.0000 0.1694 0.7500 (multiplicity 4)
N: 0.0000 0.0000 0.0000 (multiplicity 4)
N: 0.0000 0.2620 0.6206 (multiplicity 8)
N: 0.0000 0.4282 0.2500 (multiplicity 4)

Top 12 peaks for 2θ from 15° to 90°, in order of rising 2θ:
d_spacing, I_rel, h k l
5.352, 12, 0 2 1
3.005, 42, 0 0 4
2.989, 21, 0 4 0
2.898, 100, 1 1 2
2.547, 38, 1 3 1
2.391, 70, 1 3 2
2.119, 14, 0 4 4
1.873, 10, 0 4 5
1.767, 13, 1 3 5
1.763, 20, 1 5 3
1.720, 13, 2 0 0
1.493, 10, 2 0 4


(4)
Calculated PXRD pattern
Compound: Pm2Dy2Bi2P
Radiation: λ = 1.5418 Å (Cu Kα)
Structure: DFT lattice parameters and positions (PBE)
Intensities are scaled so that the largest is 100.

Cell and atoms:
Cell lengths 5.1553, 5.1553, 16.5629 Å; angles 90.00, 90.00, 90.00 degrees
Space group I4/mmm (No. 139)
One atom of each set of equivalent atoms:
Pm: 0.0000 0.0000 0.1672 (multiplicity 4)
Dy: 0.0000 0.5000 0.0000 (multiplicity 4)
Bi: 0.0000 0.0000 0.3645 (multiplicity 4)
P: 0.0000 0.0000 0.0000 (multiplicity 2)

Top 12 peaks for 2θ from 15° to 90°, in order of rising 2θ:
d_spacing, I_rel, h k l
3.645, 26, 1 1 0
3.336, 59, 1 1 2
2.787, 20, 1 0 5
2.760, 24, 0 0 6
2.736, 100, 1 1 4
2.578, 69, 2 0 0
1.892, 13, 2 1 5
1.884, 32, 2 0 6
1.823, 25, 2 2 0
1.600, 14, 3 1 2
1.521, 16, 2 2 6
1.517, 34, 3 1 4


(5)
Calculated PXRD pattern
Compound: BaNaNpI6
Radiation: λ = 1.5418 Å (Cu Kα)
Structure: DFT lattice parameters and positions (PBE)
Intensities are scaled so that the largest is 100.

Cell and atoms:
Cell lengths 8.1496, 8.1496, 14.9864 Å; angles 90.00, 90.00, 120.00 degrees
Space group P-31c (No. 163)
One atom of each set of equivalent atoms:
Ba: 0.0000 0.0000 0.0000 (multiplicity 2)
Na: 0.3333 0.6667 0.2500 (multiplicity 2)
Np: 0.3333 0.6667 0.7500 (multiplicity 2)
I: 0.0109 0.3609 0.6306 (multiplicity 12)

Top 12 peaks for 2θ from 15° to 90°, in order of rising 2θ:
d_spacing, I_rel, h k l
5.138, 39, 1 0 2
3.580, 100, 1 1 2
3.193, 11, 2 0 2
2.758, 72, 1 1 4
2.513, 17, 2 1 2
2.353, 57, 3 0 0
2.130, 25, 2 -1 6
1.966, 16, 4 -2 2
1.790, 18, 4 -2 4
1.509, 12, 4 1 2
1.465, 21, 3 0 8
1.424, 18, 4 1 4


(6)
Calculated PXRD pattern
Compound: ScTi2ReAu
Radiation: λ = 1.5418 Å (Cu Kα)
Structure: DFT lattice parameters and positions (PBE)
Intensities are scaled so that the largest is 100.

Cell and atoms:
Cell lengths 4.7142, 4.7142, 5.0481 Å; angles 90.00, 90.00, 90.00 degrees
Space group P4/mmm (No. 123)
One atom of each set of equivalent atoms:
Sc: 0.0000 0.0000 0.0000 (multiplicity 1)
Ti: 0.0000 0.5000 0.5000 (multiplicity 2)
Re: 0.0000 0.0000 0.5000 (multiplicity 1)
Au: 0.5000 0.5000 0.0000 (multiplicity 1)

Top 12 peaks for 2θ from 15° to 90°, in order of rising 2θ:
d_spacing, I_rel, h k l
3.445, 100, 1 0 1
3.333, 45, 1 1 0
2.782, 12, 1 1 1
2.524, 27, 0 0 2
2.357, 44, 2 0 0
2.012, 23, 1 1 2
1.945, 43, 2 1 1
1.723, 33, 2 0 2
1.667, 15, 2 2 0
1.585, 11, 1 0 3
1.391, 16, 2 2 2
1.315, 12, 2 1 3


(7)
Calculated PXRD pattern
Compound: Ca3Ac8La3
Radiation: λ = 1.5418 Å (Cu Kα)
Structure: DFT lattice parameters and positions (PBE)
Intensities are scaled so that the largest is 100.

Cell and atoms:
Cell lengths 14.0640, 13.9398, 6.5528 Å; angles 90.00, 104.73, 90.00 degrees
Space group C2/m (No. 12)
One atom of each set of equivalent atoms:
Ca: 0.0000 0.0000 0.0000 (multiplicity 2)
Ca: 0.0000 0.1374 0.5000 (multiplicity 4)
Ac: 0.1311 0.2466 0.0587 (multiplicity 8)
Ac: 0.1498 0.3707 0.5614 (multiplicity 8)
La: 0.0000 0.5000 0.0000 (multiplicity 2)
La: 0.2379 0.0000 0.8682 (multiplicity 4)

Top 12 peaks for 2θ from 15° to 90°, in order of rising 2θ:
d_spacing, I_rel, h k l
3.760, 19, 1 3 -1
3.400, 12, 4 0 0
3.245, 13, 3 3 0
3.221, 19, 3 1 1
3.201, 13, 2 0 -2
3.189, 15, 1 1 -2
3.169, 21, 0 0 2
3.054, 100, 0 4 1
3.038, 25, 4 2 -1
2.535, 11, 4 2 1
2.424, 13, 4 4 -1
1.848, 14, 2 4 -3


(8)
Calculated PXRD pattern
Compound: Sc6Ag5
Radiation: λ = 1.5418 Å (Cu Kα)
Structure: DFT lattice parameters and positions (PBE)
Intensities are scaled so that the largest is 100.

Cell and atoms:
Cell lengths 4.7876, 6.8519, 14.3247 Å; angles 90.00, 90.00, 90.00 degrees
Space group Immm (No. 71)
One atom of each set of equivalent atoms:
Sc: 0.0000 0.2413 0.0000 (multiplicity 4)
Sc: 0.0000 0.2565 0.3401 (multiplicity 8)
Ag: 0.0000 0.0000 0.1749 (multiplicity 4)
Ag: 0.0000 0.0000 0.5000 (multiplicity 2)
Ag: 0.0000 0.5000 0.1700 (multiplicity 4)

Top 12 peaks for 2θ from 15° to 90°, in order of rising 2θ:
d_spacing, I_rel, h k l
3.426, 8, 0 2 0
3.381, 15, 1 0 3
2.406, 100, 1 2 3
2.394, 25, 2 0 0
2.387, 24, 0 0 6
1.961, 8, 2 2 0
1.713, 8, 0 4 0
1.690, 15, 2 0 6
1.393, 9, 2 4 0
1.384, 16, 3 2 3
1.382, 14, 1 2 9
1.203, 9, 2 4 6


(9)
Calculated PXRD pattern
Compound: Mg4TlCd6
Radiation: λ = 1.5418 Å (Cu Kα)
Structure: DFT lattice parameters and positions (PBE)
Intensities are scaled so that the largest is 100.

Cell and atoms:
Cell lengths 20.7669, 9.8598, 5.3212 Å; angles 90.00, 104.84, 90.00 degrees
Space group C2 (No. 5)
One atom of each set of equivalent atoms:
Mg: 0.1146 0.0000 0.2691 (multiplicity 4)
Mg: 0.1197 0.1676 0.7776 (multiplicity 4)
Mg: 0.1197 0.6791 0.2755 (multiplicity 4)
Mg: 0.1239 0.5076 0.7858 (multiplicity 4)
Tl: 0.2470 0.8385 0.2356 (multiplicity 4)
Cd: 0.0000 0.1700 0.0000 (multiplicity 2)
Cd: 0.0000 0.3372 0.5000 (multiplicity 2)
Cd: 0.0000 0.5129 0.0000 (multiplicity 2)
Cd: 0.0000 0.6696 0.5000 (multiplicity 2)
Cd: 0.1097 0.8513 0.7615 (multiplicity 4)
Cd: 0.1228 0.3384 0.2787 (multiplicity 4)
Cd: 0.2483 0.0084 0.7403 (multiplicity 4)
Cd: 0.2497 0.1705 0.2530 (multiplicity 4)

Top 12 peaks for 2θ from 15° to 90°, in order of rising 2θ:
d_spacing, I_rel, h k l
5.019, 24, 4 0 0
4.243, 23, 3 1 -1
2.796, 23, 1 3 -1
2.693, 24, 3 3 -1
2.661, 13, 2 0 -2
2.509, 35, 8 0 0
2.443, 100, 3 3 1
2.351, 38, 6 0 -2
1.868, 16, 9 3 -1
1.561, 18, 3 3 -3
1.436, 17, 11 3 1
1.325, 18, 11 3 -3


(10)
Calculated PXRD pattern
Compound: PrScCd5
Radiation: λ = 1.5418 Å (Cu Kα)
Structure: DFT lattice parameters and positions (PBE)
Intensities are scaled so that the largest is 100.

Cell and atoms:
Cell lengths 5.0997, 5.0997, 6.8775 Å; angles 90.00, 90.00, 90.00 degrees
Space group P4/mmm (No. 123)
One atom of each set of equivalent atoms:
Pr: 0.0000 0.0000 0.0000 (multiplicity 1)
Sc: 0.5000 0.5000 0.5000 (multiplicity 1)
Cd: 0.0000 0.5000 0.2834 (multiplicity 4)
Cd: 0.5000 0.5000 0.0000 (multiplicity 1)

Top 12 peaks for 2θ from 15° to 90°, in order of rising 2θ:
d_spacing, I_rel, h k l
3.194, 36, 1 1 1
2.550, 60, 2 0 0
2.489, 100, 1 1 2
2.293, 9, 0 0 3
1.803, 21, 2 2 0
1.705, 14, 2 0 3
1.570, 9, 3 1 1
1.460, 36, 3 1 2
1.426, 12, 2 0 4
1.285, 8, 1 1 5
1.140, 9, 4 2 0
1.135, 8, 3 3 2